The following is a computed X-ray diffraction stick pattern of Sr5Tl3. It was derived from a cell relaxed with GGA-PBE, using copper Kα.

The 6 most intense peaks (10° ≤ 2θ ≤ 80°), by intensity:
3.197 Å, 2θ = 27.90°, I 100.0; 2.843 Å, 2θ = 31.46°, I 57.7; 4.955 Å, 2θ = 17.90°, I 45.0; 2.969 Å, 2θ = 30.10°, I 32.6; 1.610 Å, 2θ = 57.20°, I 24.5; 2.486 Å, 2θ = 36.13°, I 18.6

```
Sr5Tl3
1.0
-4.4959 4.4959 7.9083
4.4959 -4.4959 7.9083
4.4959 4.4959 -7.9083
Sr Tl
10 6
direct
0.0000 0.0000 0.0000
0.0248 0.5248 0.8409
0.1839 0.0248 0.5000
0.3161 0.8161 0.8409
0.4752 0.3161 0.5000
0.5000 0.5000 0.0000
0.5248 0.6839 0.5000
0.6839 0.1839 0.1591
0.8161 0.9752 0.5000
0.9752 0.4752 0.1591
0.1233 0.3767 0.5000
0.2500 0.2500 0.0000
0.3767 0.8767 0.2534
0.6233 0.1233 0.7466
0.7500 0.7500 0.0000
0.8767 0.6233 0.5000
```


The following is a computed X-ray diffraction stick pattern of K4Be3O5. It was derived from a cell relaxed with GGA-PBE, using copper Kα.

The 6 most intense peaks (10° ≤ 2θ ≤ 80°), by intensity:
2.405 Å, 2θ = 37.40°, I 100.0; 2.987 Å, 2θ = 29.91°, I 74.8; 2.620 Å, 2θ = 34.23°, I 63.4; 2.723 Å, 2θ = 32.90°, I 60.7; 2.746 Å, 2θ = 32.61°, I 54.6; 2.079 Å, 2θ = 43.54°, I 31.1

```
K4Be3O5
1.0
5.2392 -3.6361 0.0000
5.2392 3.6361 0.0000
-5.1462 0.0000 9.6173
K Be O
8 6 10
direct
0.0574 0.2772 0.0950
0.2470 0.4111 0.4244
0.2772 0.0574 0.5950
0.4111 0.2470 0.9244
0.5889 0.7530 0.0756
0.7228 0.9426 0.4050
0.7530 0.5889 0.5756
0.9426 0.7228 0.9050
0.1893 0.8107 0.2500
0.2313 0.7687 0.7500
0.4797 0.5203 0.2500
0.5203 0.4797 0.7500
0.7687 0.2313 0.2500
0.8107 0.1893 0.7500
0.0214 0.9786 0.7500
0.2341 0.5120 0.7306
0.2729 0.6272 0.1227
0.3728 0.7271 0.3773
0.4880 0.7659 0.7694
0.5120 0.2341 0.2306
0.6272 0.2729 0.6227
0.7271 0.3728 0.8773
0.7659 0.4880 0.2694
0.9786 0.0214 0.2500
```


The following is a computed X-ray diffraction stick pattern of CoGe. It was derived from a cell relaxed with GGA-PBE, using copper Kα.

The 6 most intense peaks (10° ≤ 2θ ≤ 80°), by intensity:
2.648 Å, 2θ = 33.85°, I 100.0; 1.951 Å, 2θ = 46.56°, I 78.1; 1.985 Å, 2θ = 45.71°, I 40.8; 1.905 Å, 2θ = 47.75°, I 37.1; 3.903 Å, 2θ = 22.78°, I 28.2; 2.346 Å, 2θ = 38.36°, I 28.1

```
CoGe
1.0
4.4873 -3.6843 0.0000
4.4873 3.6843 0.0000
-2.0571 0.0000 3.9029
Co Ge
4 4
direct
0.0000 0.0000 0.0000
0.0000 0.0000 0.5000
0.0000 0.5000 0.0000
0.5000 0.0000 0.0000
0.2666 0.2666 0.5201
0.3089 0.6911 0.5000
0.6911 0.3089 0.5000
0.7333 0.7333 0.4799
```


The following is a computed X-ray diffraction stick pattern of PrAl4. It was derived from a cell relaxed with GGA-PBE, using copper Kα.

The 6 most intense peaks (10° ≤ 2θ ≤ 80°), by intensity:
2.676 Å, 2θ = 33.49°, I 100.0; 2.845 Å, 2θ = 31.45°, I 54.7; 2.831 Å, 2θ = 31.60°, I 40.6; 4.035 Å, 2θ = 22.03°, I 34.0; 3.034 Å, 2θ = 29.44°, I 33.7; 5.680 Å, 2θ = 15.60°, I 33.1

```
PrAl4
1.0
-2.1585 6.3961 5.6795
2.1585 -6.3961 5.6795
2.1585 6.3961 -5.6795
Pr Al
3 12
direct
0.0000 0.0000 0.0000
0.3285 0.9950 0.3334
0.6616 0.9950 0.6666
0.0505 0.3860 0.6645
0.0769 0.2465 0.8304
0.2460 0.7460 0.5000
0.2789 0.6101 0.6688
0.3820 0.3820 0.0000
0.4161 0.2465 0.1696
0.5851 0.7488 0.8363
0.6060 0.6060 0.0000
0.7215 0.3860 0.3355
0.7437 0.2437 0.5000
0.9125 0.7488 0.1637
0.9413 0.6101 0.3312
```


The following is a computed X-ray diffraction stick pattern of Nb9As7Pd. It was derived from a cell relaxed with GGA-PBE, using copper Kα.

The 6 most intense peaks (10° ≤ 2θ ≤ 80°), by intensity:
2.380 Å, 2θ = 37.80°, I 100.0; 2.447 Å, 2θ = 36.73°, I 43.5; 2.262 Å, 2θ = 39.85°, I 40.4; 1.331 Å, 2θ = 70.77°, I 37.9; 2.184 Å, 2θ = 41.34°, I 32.4; 1.832 Å, 2θ = 49.76°, I 30.8

```
Nb9As7Pd
1.0
16.7942 0.0000 0.0000
-8.3971 14.5442 0.0000
0.0000 0.0000 3.5979
Nb As Pd
27 21 3
direct
0.0073 0.3107 0.0000
0.0159 0.4658 0.5000
0.0457 0.1330 0.0000
0.0873 0.9543 0.0000
0.1309 0.7783 0.0000
0.2068 0.6716 0.5000
0.2217 0.3525 0.0000
0.2611 0.1721 0.0000
0.3034 0.9927 0.0000
0.3284 0.5352 0.5000
0.3628 0.3412 0.5000
0.4056 0.1617 0.5000
0.4499 0.9841 0.5000
0.4648 0.7932 0.5000
0.5342 0.5501 0.5000
0.5788 0.3788 0.5000
0.6212 0.2000 0.5000
0.6475 0.8691 0.0000
0.6588 0.0216 0.5000
0.6893 0.6966 0.0000
0.7561 0.5944 0.5000
0.8000 0.4212 0.5000
0.8279 0.0890 0.0000
0.8383 0.2439 0.5000
0.8670 0.9127 0.0000
0.9110 0.7389 0.0000
0.9784 0.6372 0.5000
0.0000 0.0000 0.5000
0.0438 0.8238 0.5000
0.0703 0.5971 0.0000
0.1382 0.3986 0.5000
0.1762 0.2200 0.5000
0.2181 0.0402 0.5000
0.2604 0.8618 0.5000
0.3333 0.6667 0.0000
0.4029 0.4731 0.0000
0.4477 0.2932 0.0000
0.4902 0.1139 0.0000
0.5269 0.9297 0.0000
0.6014 0.7396 0.5000
0.6237 0.5098 0.0000
0.6667 0.3333 0.0000
0.7068 0.1545 0.0000
0.7800 0.9562 0.5000
0.8221 0.7819 0.5000
0.8455 0.5523 0.0000
0.8861 0.3763 0.0000
0.9598 0.1779 0.5000
0.1782 0.5171 0.0000
0.3390 0.8218 0.0000
0.4829 0.6610 0.0000
```


The following is a computed X-ray diffraction stick pattern of LiNiH2. It was derived from a cell relaxed with GGA-PBE, using copper Kα.

The 6 most intense peaks (10° ≤ 2θ ≤ 80°), by intensity:
3.233 Å, 2θ = 27.59°, I 100.0; 2.102 Å, 2θ = 43.04°, I 79.5; 2.286 Å, 2θ = 39.41°, I 47.8; 2.766 Å, 2θ = 32.37°, I 36.2; 1.762 Å, 2θ = 51.89°, I 30.1; 1.281 Å, 2θ = 73.97°, I 28.3

```
LiNiH2
1.0
3.2334 0.0000 0.0000
0.0000 3.2334 0.0000
0.0000 0.0000 2.7658
Li Ni H
1 1 2
direct
0.0000 0.0000 0.0000
0.5000 0.5000 0.5000
0.0000 0.5000 0.5000
0.5000 0.0000 0.5000
```


The following is a computed X-ray diffraction stick pattern of Mg4SiGe. It was derived from a cell relaxed with GGA-PBE, using copper Kα.

The 6 most intense peaks (10° ≤ 2θ ≤ 80°), by intensity:
2.397 Å, 2θ = 37.53°, I 100.0; 2.810 Å, 2θ = 31.84°, I 51.0; 1.530 Å, 2θ = 60.53°, I 31.6; 2.295 Å, 2θ = 39.26°, I 22.5; 1.405 Å, 2θ = 66.55°, I 22.4; 1.622 Å, 2θ = 56.74°, I 18.8

```
Mg4SiGe
1.0
0.0000 3.9742 3.9742
3.9742 0.0000 3.9742
3.9742 3.9742 0.0000
Mg Si Ge
4 1 1
direct
0.1252 0.1252 0.1252
0.1252 0.1252 0.6245
0.1252 0.6245 0.1252
0.6245 0.1252 0.1252
0.5000 0.5000 0.5000
0.7500 0.7500 0.7500
```